Th2OsRh: computed powder XRD pattern (Cu Kα (weighted mean of Kα1 and Kα2)), based on a structure optimized by DFT (PBE).

Atomic structure:
```
12
Lattice="4.1115 0.0000 0.0000 -2.0557 3.5607 0.0000 0.0000 0.0000 19.9831" Properties=species:S:1:pos:R:3 pbc="T T T"
Th 0.0000 0.0000 4.9424
Th 0.0000 0.0000 15.0407
Th 0.0000 2.3738 8.3796
Th 0.0000 2.3738 18.2645
Th 2.0557 1.1869 1.7186
Th 2.0557 1.1869 11.6035
Os 0.0000 0.0000 9.9916
Os 0.0000 2.3738 3.3305
Os 2.0557 1.1869 16.6526
Rh 0.0000 0.0000 0.0000
Rh 0.0000 2.3738 13.3221
Rh 2.0557 1.1869 6.6610
```

Top 8 peaks for 2θ = 10–80°, by intensity:
hkl 1 0 4, 2θ = 30.8°, rel. 100; hkl 1 1 0, 2θ = 44.0°, rel. 38; hkl 0 1 8, 2θ = 44.3°, rel. 37; hkl 0 2 4, 2θ = 54.7°, rel. 20; hkl 2 1 4, 2θ = 72.8°, rel. 18; hkl 1 1 12, 2θ = 73.1°, rel. 17; hkl 2 0 8, 2θ = 64.2°, rel. 13; hkl 0 0 12, 2θ = 55.2°, rel. 6